# Tb4Ga12Fe
Computed powder diffractogram, a wavelength of 1.5418 Å. Input: DFT lattice parameters and positions (PBE).

Structural model:
Cell lengths 7.461, 7.461, 7.461 Å; angles 109.47, 109.47, 109.47 degrees
Atoms (fractional coordinates):
Tb1 0.000 0.000 0.500
Tb2 0.000 0.500 0.000
Tb3 0.500 0.000 0.000
Tb4 0.500 0.500 0.500
Ga1 0.000 0.283 0.283
Ga2 0.000 0.717 0.717
Ga3 0.250 0.500 0.750
Ga4 0.250 0.750 0.500
Ga5 0.283 0.000 0.283
Ga6 0.283 0.283 0.000
Ga7 0.500 0.250 0.750
Ga8 0.500 0.750 0.250
Ga9 0.717 0.000 0.717
Ga10 0.717 0.717 0.000
Ga11 0.750 0.250 0.500
Ga12 0.750 0.500 0.250
Fe1 0.000 0.000 0.000

Peak list (8 most intense, 10° ≤ 2θ ≤ 80°, sorted by position)
| two_theta | intensity |
| --- | --- |
| 20.62 | 10 |
| 29.32 | 23 |
| 36.12 | 100 |
| 41.95 | 57 |
| 52.00 | 7 |
| 60.82 | 35 |
| 72.82 | 33 |
| 76.62 | 11 |